[1]
Theoretical powder X-ray diffraction pattern of LaHoThSc for Cu Kα, 1.54184 Å, from a cell relaxed with PBE.

Principal peaks in the range 10° ≤ 2θ ≤ 90°, most intense first:
31.06 deg, I = 100
35.39 deg, I = 36
60.85 deg, I = 30
52.33 deg, I = 22
37.26 deg, I = 15
50.92 deg, I = 13

Crystal structure
a = 3.587 Å, b = 3.587 Å, c = 9.653 Å
α = 90.00°, β = 90.00°, γ = 90.00°
Fractional coordinates of all 4 atoms:
La: 0.000 0.000 0.000
Ho: 0.500 0.500 0.727
Th: 0.000 0.000 0.478
Sc: 0.500 0.500 0.249

[2]
Theoretical powder X-ray diffraction pattern of La2HoTmSc for Cu Kα, 1.54184 Å, from a cell relaxed with PBE.

Principal peaks in the range 10° ≤ 2θ ≤ 90°, most intense first:
29.08 deg, I = 100
26.81 deg, I = 100
32.92 deg, I = 83
46.10 deg, I = 61
31.36 deg, I = 53
57.70 deg, I = 25

Crystal structure
a = 7.020 Å, b = 7.020 Å, c = 7.287 Å
α = 90.00°, β = 90.00°, γ = 108.70°
Fractional coordinates of all 10 atoms:
La: 0.199 0.199 0.000
La: 0.199 0.199 0.500
La: 0.801 0.801 0.000
La: 0.801 0.801 0.500
Ho: 0.232 0.768 0.750
Ho: 0.768 0.232 0.250
Tm: 0.242 0.758 0.250
Tm: 0.758 0.242 0.750
Sc: 0.493 0.507 0.750
Sc: 0.507 0.493 0.250